Structure and theoretical powder X-ray diffraction pattern of CeAl3Cu (DFT lattice parameters and positions (PBE); Cu Kα (weighted mean of Kα1 and Kα2)).
Intensities are scaled so that the largest is 100.

Atomic structure:
```
data_CeAl3Cu
_cell_length_a 4.2488
_cell_length_b 4.2488
_cell_length_c 10.5255
_cell_angle_alpha 90.00
_cell_angle_beta 90.00
_cell_angle_gamma 90.00
_space_group_name_H-M_alt 'I 4 m m'
_space_group_IT_number 107
_space_group_name_Hall 'I 4 -2'
loop_
_atom_site_label
_atom_site_type_symbol
_atom_site_fract_x
_atom_site_fract_y
_atom_site_fract_z
Ce1 Ce 0.0000 0.0000 0.0000
Al1 Al 0.0000 0.0000 0.4062
Al2 Al 0.0000 0.5000 0.2495
Cu1 Cu 0.0000 0.0000 0.6317
```

The 6 most intense peaks (5 to 70 degrees two-theta), most intense first:
| index | 2θ (°) | I (rel.) |
| --- | --- | --- |
| 1 0 3 | 33.11 | 100 |
| 1 1 2 | 34.37 | 93 |
| 1 1 0 | 29.74 | 55 |
| 2 0 0 | 42.56 | 52 |
| 2 1 3 | 54.96 | 46 |
| 1 0 1 | 22.57 | 40 |

Structure and theoretical powder X-ray diffraction pattern of Sm2AlZn (DFT lattice parameters and positions (PBE); Cu Kα (weighted mean of Kα1 and Kα2)).
Intensities are scaled so that the largest is 100.

Atomic structure:
```
data_Sm2AlZn
_cell_length_a 7.3518
_cell_length_b 7.3518
_cell_length_c 7.3518
_cell_angle_alpha 90.00
_cell_angle_beta 90.00
_cell_angle_gamma 90.00
_space_group_name_H-M_alt 'F m -3 m'
_space_group_IT_number 225
_space_group_name_Hall '-F 4 2 3'
loop_
_atom_site_label
_atom_site_type_symbol
_atom_site_fract_x
_atom_site_fract_y
_atom_site_fract_z
Sm1 Sm 0.2500 0.2500 0.2500
Al1 Al 0.0000 0.0000 0.0000
Zn1 Zn 0.0000 0.0000 0.5000
```

The 6 most intense peaks (5 to 70 degrees two-theta), most intense first:
| index | 2θ (°) | I (rel.) |
| --- | --- | --- |
| 2 2 0 | 34.51 | 100 |
| 4 2 2 | 61.82 | 36 |
| 2 0 0 | 24.21 | 31 |
| 4 0 0 | 49.60 | 18 |
| 4 2 0 | 55.93 | 13 |
| 2 2 2 | 42.60 | 10 |

Structure and theoretical powder X-ray diffraction pattern of Na2Si2S5 (DFT lattice parameters and positions (PBE); Cu Kα (weighted mean of Kα1 and Kα2)).
Intensities are scaled so that the largest is 100.

Atomic structure:
```
data_Na2Si2S5
_cell_length_a 12.8407
_cell_length_b 12.9162
_cell_length_c 10.5395
_cell_angle_alpha 90.00
_cell_angle_beta 90.00
_cell_angle_gamma 90.00
_space_group_name_H-M_alt 'C m c m'
_space_group_IT_number 63
_space_group_name_Hall '-C 2c 2'
loop_
_atom_site_label
_atom_site_type_symbol
_atom_site_fract_x
_atom_site_fract_y
_atom_site_fract_z
Na1 Na 0.1506 0.0000 0.0000
Na2 Na 0.1616 0.2587 0.2500
Si1 Si 0.0000 0.2532 0.5855
Si2 Si 0.1350 0.4455 0.7500
S1 S 0.0000 0.1547 0.7500
S2 S 0.0000 0.1608 0.0756
S3 S 0.0000 0.4564 0.2500
S4 S 0.1396 0.3477 0.5830
S5 S 0.2338 0.0374 0.7500
```

The 6 most intense peaks (5 to 70 degrees two-theta), most intense first:
| index | 2θ (°) | I (rel.) |
| --- | --- | --- |
| 3 3 0 | 29.43 | 100 |
| 2 2 0 | 19.48 | 94 |
| 0 2 3 | 28.93 | 82 |
| 3 3 1 | 30.65 | 65 |
| 3 5 3 | 48.65 | 57 |
| 1 1 1 | 12.85 | 50 |

Structure and theoretical powder X-ray diffraction pattern of Sm4Rh (DFT lattice parameters and positions (PBE); Cu Kα (weighted mean of Kα1 and Kα2)).
Intensities are scaled so that the largest is 100.

Atomic structure:
abc: 10.9825 10.9825 10.9825
angles: 90.00 90.00 90.00
Space group Fd-3m (No. 227, origin choice 2)
Asymmetric unit:
Sm 0.0137 0.0137 0.2363 [32 per cell]
Rh 0.1250 0.1250 0.6250 [8 per cell]

The 6 most intense peaks (5 to 70 degrees two-theta), most intense first:
| index | 2θ (°) | I (rel.) |
| --- | --- | --- |
| 2 2 2 | 28.15 | 100 |
| 4 4 0 | 46.79 | 46 |
| 6 2 2 | 55.50 | 35 |
| 4 0 0 | 32.61 | 33 |
| 5 1 1 | 42.78 | 20 |
| 3 3 1 | 35.63 | 19 |

Structure and theoretical powder X-ray diffraction pattern of K2Zn3GeAs4 (DFT lattice parameters and positions (PBE); Cu Kα (weighted mean of Kα1 and Kα2)).
Intensities are scaled so that the largest is 100.

Atomic structure:
```
data_K2Zn3GeAs4
_cell_length_a 5.8449
_cell_length_b 14.5859
_cell_length_c 5.8333
_cell_angle_alpha 90.00
_cell_angle_beta 90.00
_cell_angle_gamma 90.00
_space_group_name_H-M_alt 'C 2 2 2'
_space_group_IT_number 21
_space_group_name_Hall 'C 2 2'
loop_
_atom_site_label
_atom_site_type_symbol
_atom_site_fract_x
_atom_site_fract_y
_atom_site_fract_z
K1 K 0.2500 0.2500 0.2474
Zn1 Zn 0.0000 0.0000 0.0000
Zn2 Zn 0.0000 0.0000 0.5000
Zn3 Zn 0.0000 0.5000 0.5000
Ge1 Ge 0.0000 0.5000 0.0000
As1 As 0.2427 0.3930 0.7570
```

The 6 most intense peaks (5 to 70 degrees two-theta), most intense first:
| index | 2θ (°) | I (rel.) |
| --- | --- | --- |
| 0 2 0 | 12.14 | 100 |
| 1 3 1 | 28.36 | 97 |
| 2 4 0 | 39.54 | 71 |
| 2 6 0 | 48.74 | 51 |
| 2 0 2 | 43.85 | 51 |
| 2 2 0 | 33.05 | 45 |

Structure and theoretical powder X-ray diffraction pattern of Mg3Bi (DFT lattice parameters and positions (PBE); Cu Kα (weighted mean of Kα1 and Kα2)).
Intensities are scaled so that the largest is 100.

Atomic structure:
```
data_Mg3Bi
_cell_length_a 3.3962
_cell_length_b 5.3125
_cell_length_c 5.6110
_cell_angle_alpha 90.00
_cell_angle_beta 90.00
_cell_angle_gamma 90.00
_space_group_name_H-M_alt 'P m m 2'
_space_group_IT_number 25
_space_group_name_Hall 'P 2 -2'
loop_
_atom_site_label
_atom_site_type_symbol
_atom_site_fract_x
_atom_site_fract_y
_atom_site_fract_z
Mg1 Mg 0.0000 0.0000 0.0000
Mg2 Mg 0.0000 0.5000 0.3289
Mg3 Mg 0.5000 0.0000 0.4887
Bi1 Bi 0.5000 0.5000 0.8270
```

The 6 most intense peaks (5 to 70 degrees two-theta), most intense first:
| index | 2θ (°) | I (rel.) |
| --- | --- | --- |
| 1 1 1 | 35.21 | 100 |
| 0 0 1 | 15.79 | 78 |
| 0 1 0 | 16.69 | 70 |
| 0 1 1 | 23.06 | 69 |
| 0 1 2 | 36.21 | 46 |
| 1 0 1 | 30.77 | 46 |